Entry 1:
This entry pairs a crystal structure of Sb8Cl2O11 with its simulated XRD peak list. Radiation: Cu Kα X-rays. Structure: a cell relaxed with GGA-PBE.
Neutral-atom scattering factors, no anomalous dispersion.

The 8 most intense peaks (2θ = 10–90°), in order of rising 2θ:
Position (°2θ)	intensity
19.8	1000
26.6	321
26.7	669
29.6	291
32.1	272
32.2	418
32.8	310
44.2	239

Cell and atoms:
a = 11.178 Å, b = 4.206 Å, c = 18.056 Å
α = 90.00°, β = 97.27°, γ = 90.00°
Sites, in units of the cell vectors:
Sb: 0.054 0.183 0.428
Sb: 0.054 0.317 0.928
Sb: 0.133 0.023 0.758
Sb: 0.133 0.477 0.258
Sb: 0.313 0.693 0.519
Sb: 0.313 0.807 0.019
Sb: 0.349 0.547 0.714
Sb: 0.349 0.953 0.214
Sb: 0.651 0.047 0.786
Sb: 0.651 0.453 0.286
Sb: 0.687 0.193 0.981
Sb: 0.687 0.307 0.481
Sb: 0.867 0.523 0.742
Sb: 0.867 0.977 0.242
Sb: 0.946 0.683 0.072
Sb: 0.946 0.817 0.572
Cl: 0.486 0.004 0.595
Cl: 0.486 0.496 0.095
Cl: 0.514 0.504 0.905
Cl: 0.514 0.996 0.405
O: 0.000 0.000 0.000
O: 0.000 0.500 0.500
O: 0.140 0.501 0.370
O: 0.140 0.999 0.870
O: 0.192 0.538 0.763
O: 0.192 0.962 0.263
O: 0.208 0.076 0.494
O: 0.208 0.424 0.994
O: 0.250 0.587 0.614
O: 0.250 0.913 0.114
O: 0.304 0.042 0.735
O: 0.304 0.458 0.235
O: 0.696 0.542 0.765
O: 0.696 0.958 0.265
O: 0.750 0.087 0.886
O: 0.750 0.413 0.386
O: 0.792 0.576 0.006
O: 0.792 0.924 0.506
O: 0.808 0.038 0.737
O: 0.808 0.462 0.237
O: 0.860 0.001 0.130
O: 0.860 0.499 0.630

Entry 2:
This entry pairs a crystal structure of Ti3H2O7 with its simulated XRD peak list. Radiation: Cu Kα X-rays. Structure: a cell relaxed with GGA-PBE.
Neutral-atom scattering factors, no anomalous dispersion.

The 8 most intense peaks (2θ = 10–90°), in order of rising 2θ:
Position (°2θ)	intensity
11.2	864
14.4	830
24.4	1000
26.3	769
28.4	382
29.5	331
40.9	387
48.0	397

Cell and atoms:
a = 18.731 Å, b = 18.731 Å, c = 9.543 Å
α = 98.71°, β = 98.71°, γ = 11.68°
Sites, in units of the cell vectors:
Ti: 0.187 0.186 0.357
Ti: 0.219 0.219 0.033
Ti: 0.233 0.237 0.731
Ti: 0.763 0.767 0.269
Ti: 0.781 0.781 0.967
Ti: 0.814 0.813 0.643
H: 0.022 0.665 0.902
H: 0.283 0.277 0.543
H: 0.335 0.978 0.098
H: 0.723 0.717 0.457
O: 0.146 0.141 0.374
O: 0.200 0.198 0.850
O: 0.212 0.213 0.555
O: 0.221 0.135 0.136
O: 0.250 0.251 0.239
O: 0.273 0.264 0.948
O: 0.292 0.290 0.644
O: 0.710 0.708 0.356
O: 0.736 0.727 0.052
O: 0.749 0.750 0.761
O: 0.787 0.788 0.445
O: 0.802 0.800 0.150
O: 0.859 0.854 0.626
O: 0.865 0.779 0.864

Entry 3:
This entry pairs a crystal structure of Rb2P2Pt with its simulated XRD peak list. Radiation: Cu Kα X-rays. Structure: a cell relaxed with GGA-PBE.
Neutral-atom scattering factors, no anomalous dispersion.

The 8 most intense peaks (2θ = 10–90°), in order of rising 2θ:
Position (°2θ)	intensity
12.3	887
14.7	1000
26.8	523
27.0	625
32.0	584
34.0	485
36.7	575
41.4	312

Cell and atoms:
a = 7.903 Å, b = 7.903 Å, c = 6.319 Å
α = 90.00°, β = 90.00°, γ = 130.26°
Sites, in units of the cell vectors:
Rb: 0.080 0.920 0.750
Rb: 0.288 0.712 0.250
Rb: 0.712 0.288 0.750
Rb: 0.920 0.080 0.250
P: 0.232 0.438 0.750
P: 0.438 0.232 0.250
P: 0.562 0.768 0.750
P: 0.768 0.562 0.250
Pt: 0.500 0.500 0.000
Pt: 0.500 0.500 0.500

Entry 4:
This entry pairs a crystal structure of Na4CuAs2O8 with its simulated XRD peak list. Radiation: Cu Kα X-rays. Structure: a cell relaxed with GGA-PBE.
Neutral-atom scattering factors, no anomalous dispersion.

The 8 most intense peaks (2θ = 10–90°), in order of rising 2θ:
Position (°2θ)	intensity
15.6	211
18.5	589
23.3	234
30.9	281
32.1	1000
35.9	229
36.7	331
44.4	209

Cell and atoms:
a = 4.947 Å, b = 5.978 Å, c = 7.057 Å
α = 98.40°, β = 90.91°, γ = 105.97°
Sites, in units of the cell vectors:
Na: 0.161 0.261 0.075
Na: 0.288 0.574 0.668
Na: 0.712 0.426 0.332
Na: 0.839 0.739 0.925
Cu: 0.000 0.000 0.500
As: 0.398 0.804 0.235
As: 0.602 0.196 0.765
O: 0.235 0.569 0.345
O: 0.236 0.145 0.739
O: 0.313 0.724 0.994
O: 0.316 0.062 0.331
O: 0.684 0.938 0.669
O: 0.687 0.276 0.006
O: 0.764 0.855 0.261
O: 0.765 0.431 0.655

Entry 5:
This entry pairs a crystal structure of NiGeMo with its simulated XRD peak list. Radiation: Cu Kα X-rays. Structure: a cell relaxed with GGA-PBE.
Neutral-atom scattering factors, no anomalous dispersion.

The 8 most intense peaks (2θ = 10–90°), in order of rising 2θ:
Position (°2θ)	intensity
36.2	414
41.6	1000
41.8	393
43.2	460
43.4	966
43.7	963
44.0	427
76.8	276

Cell and atoms:
a = 7.509 Å, b = 4.966 Å, c = 4.966 Å
α = 61.03°, β = 90.00°, γ = 90.00°
Sites, in units of the cell vectors:
Ni: 0.000 0.240 0.760
Ni: 0.000 0.760 0.240
Ni: 0.257 0.591 0.591
Ni: 0.743 0.591 0.591
Ge: 0.000 0.755 0.755
Ge: 0.500 0.420 0.420
Ge: 0.500 0.421 0.930
Ge: 0.500 0.930 0.421
Mo: 0.175 0.258 0.258
Mo: 0.314 0.925 0.925
Mo: 0.686 0.925 0.925
Mo: 0.825 0.258 0.258

Entry 6:
This entry pairs a crystal structure of Li3BiF6 with its simulated XRD peak list. Radiation: Cu Kα X-rays. Structure: a cell relaxed with GGA-PBE.
Neutral-atom scattering factors, no anomalous dispersion.

The 8 most intense peaks (2θ = 10–90°), in order of rising 2θ:
Position (°2θ)	intensity
16.1	419
16.9	1000
19.0	488
20.9	393
21.3	500
24.7	267
25.7	263
34.2	288

Cell and atoms:
a = 4.908 Å, b = 5.394 Å, c = 5.869 Å
α = 76.96°, β = 72.87°, γ = 83.10°
Sites, in units of the cell vectors:
Li: 0.000 0.000 0.000
Li: 0.000 0.500 0.000
Li: 0.500 0.000 0.000
Bi: 0.500 0.000 0.500
F: 0.185 0.030 0.271
F: 0.274 0.257 0.776
F: 0.292 0.749 0.878
F: 0.708 0.251 0.122
F: 0.726 0.743 0.224
F: 0.815 0.970 0.729